[1]
Starting from a DFT-relaxed cell (PBE, Alexandria), the powder diffraction line list of Pm3OsC3 was simulated for Cu Kα (weighted mean of Kα1 and Kα2).
Lines closer than 0.1° are merged.

Most intense lines, 2θ from 10° to 90°, by angle:
2θ/deg  I (rel.)  hkl
31.1  100  2 2 1
31.8  29  1 3 1
33.4  15  0 4 0
33.8  37  0 0 2
40.8  13  4 0 0
52.7  15  3 5 0
58.8  17  2 2 3
64.0  19  3 5 2

Cell and atoms:
abc: 8.8555 10.7450 5.3079
angles: 90.00 90.00 90.00
Space group Cmcm (No. 63)
One atom of each set of equivalent atoms:
Pm  0.0000  0.1074  0.2500 (multiplicity 4)
Pm  0.2115  0.3790  0.2500 (multiplicity 8)
Os  0.0000  0.3036  0.7500 (multiplicity 4)
C  0.0000  0.1227  0.7500 (multiplicity 4)
C  0.2009  0.3718  0.7500 (multiplicity 8)

=====

[2]
Starting from a DFT-relaxed cell (PBE, Alexandria), the powder diffraction line list of CeY5Ir6 was simulated for Cu Kα (weighted mean of Kα1 and Kα2).
Lines closer than 0.1° are merged.

Most intense lines, 2θ from 10° to 90°, by angle:
2θ/deg  I (rel.)  hkl
26.2  11  1 3 0
36.6  100  1 3 2
37.4  47  2 0 0
54.0  16  2 6 0
65.3  18  2 0 4
66.9  17  3 3 2
67.0  17  1 9 2
77.8  11  2 6 4

Cell and atoms:
abc: 4.8099 14.3954 7.1118
angles: 90.00 90.00 90.00
Space group Cmmm (No. 65)
One atom of each set of equivalent atoms:
Ce  0.0000  0.0000  0.0000 (multiplicity 2)
Y  0.0000  0.0000  0.5000 (multiplicity 2)
Y  0.0000  0.3313  0.0000 (multiplicity 4)
Y  0.0000  0.3325  0.5000 (multiplicity 4)
Ir  0.0000  0.1639  0.2483 (multiplicity 8)
Ir  0.0000  0.5000  0.2465 (multiplicity 4)

=====

[3]
Starting from a DFT-relaxed cell (PBE, Alexandria), the powder diffraction line list of LaPmNd2Sc was simulated for Cu Kα (weighted mean of Kα1 and Kα2).
Lines closer than 0.1° are merged.

Most intense lines, 2θ from 10° to 90°, by angle:
2θ/deg  I (rel.)  hkl
26.0  15  0 2 1
28.1  42  2 0 0
28.9  21  0 1 2
29.6  100  1 2 1
30.2  40  1 0 2
38.7  22  2 2 1
39.1  29  2 0 2
50.7  22  3 2 1

Cell and atoms:
abc: 6.3517 7.9759 6.6896
angles: 90.00 90.00 90.00
Space group Pmma (No. 51)
One atom of each set of equivalent atoms:
La  0.2500  0.0000  0.1834 (multiplicity 2)
Pm  0.2500  0.5000  0.0877 (multiplicity 2)
Nd  0.2500  0.2050  0.7062 (multiplicity 4)
Sc  0.0000  0.5000  0.5000 (multiplicity 2)

=====

[4]
Starting from a DFT-relaxed cell (PBE, Alexandria), the powder diffraction line list of LiEuPt was simulated for Cu Kα (weighted mean of Kα1 and Kα2).
Lines closer than 0.1° are merged.

Most intense lines, 2θ from 10° to 90°, by angle:
2θ/deg  I (rel.)  hkl
23.5  37  1 0 0
32.7  100  1 0 1
41.4  36  1 1 0
45.8  9  0 0 2
53.8  25  2 0 1
63.4  21  1 1 2
70.0  23  2 1 1
76.4  9  1 0 3

Cell and atoms:
abc: 4.3628 4.3628 3.9634
angles: 90.00 90.00 120.00
Space group P-6m2 (No. 187)
One atom of each set of equivalent atoms:
Li  0.0000  0.0000  0.0000 (multiplicity 1)
Eu  0.6667  0.3333  0.5000 (multiplicity 1)
Pt  0.3333  0.6667  0.0000 (multiplicity 1)

=====

[5]
Starting from a DFT-relaxed cell (PBE, Alexandria), the powder diffraction line list of PrDyY4 was simulated for Cu Kα (weighted mean of Kα1 and Kα2).
Lines closer than 0.1° are merged.

Most intense lines, 2θ from 10° to 90°, by angle:
2θ/deg  I (rel.)  hkl
18.0  11  1 0 0
31.4  96  1 1 0
31.5  100  1 0 2
45.0  37  2 0 2
55.9  57  3 0 0
62.6  25  1 1 4
74.4  16  3 1 2
80.4  12  3 0 4

Cell and atoms:
abc: 5.7040 5.7040 6.9475
angles: 90.00 90.00 120.00
Space group P6/mmm (No. 191)
One atom of each set of equivalent atoms:
Pr  0.0000  0.0000  0.0000 (multiplicity 1)
Dy  0.0000  0.0000  0.5000 (multiplicity 1)
Y  0.3333  0.6667  0.2539 (multiplicity 4)

=====

[6]
Starting from a DFT-relaxed cell (PBE, Alexandria), the powder diffraction line list of Sm13Sc2 was simulated for Cu Kα (weighted mean of Kα1 and Kα2).
Lines closer than 0.1° are merged.

Most intense lines, 2θ from 10° to 90°, by angle:
2θ/deg  I (rel.)  hkl
31.4  95  2 1 2
31.6  100  -2 1 1
45.1  24  1 0 4
56.1  24  -2 3 4
56.2  31  3 -3 0
62.4  14  0 5 5
62.5  14  4 3 3
66.0  12  -4 2 2

Cell and atoms:
abc: 6.6445 9.0007 9.0073
angles: 66.06 82.03 82.00
Space group P-1 (No. 2)
One atom of each set of equivalent atoms:
Sm  0.0000  0.0000  0.0000 (multiplicity 1)
Sm  0.0999  0.4404  0.7556 (multiplicity 2)
Sm  0.1955  0.1935  0.2087 (multiplicity 2)
Sm  0.2959  0.9647  0.6345 (multiplicity 2)
Sm  0.2965  0.6288  0.9717 (multiplicity 2)
Sm  0.3977  0.3961  0.4061 (multiplicity 2)
Sm  0.4967  0.8306  0.1687 (multiplicity 2)
Sc  0.0997  0.7701  0.4289 (multiplicity 2)

=====

[7]
Starting from a DFT-relaxed cell (PBE, Alexandria), the powder diffraction line list of Pm3TlTc was simulated for Cu Kα (weighted mean of Kα1 and Kα2).
Lines closer than 0.1° are merged.

Most intense lines, 2θ from 10° to 90°, by angle:
2θ/deg  I (rel.)  hkl
29.0  50  1 1 1
29.7  100  2 1 -1
31.4  41  2 1 0
32.2  63  2 1 -2
33.9  71  3 0 0
35.4  43  3 0 -3
36.7  53  1 1 2
44.3  47  0 2 0

Cell and atoms:
abc: 8.8875 4.0872 8.9731
angles: 90.00 116.78 90.00
Space group P2_1/m (No. 11)
One atom of each set of equivalent atoms:
Pm  0.0385  0.2500  0.2098 (multiplicity 2)
Pm  0.3362  0.2500  0.9011 (multiplicity 2)
Pm  0.3462  0.7500  0.5732 (multiplicity 2)
Tl  0.3224  0.7500  0.1891 (multiplicity 2)
Tc  0.0629  0.2500  0.5681 (multiplicity 2)

=====

[8]
Starting from a DFT-relaxed cell (PBE, Alexandria), the powder diffraction line list of Pm3Y2Ho8 was simulated for Cu Kα (weighted mean of Kα1 and Kα2).
Lines closer than 0.1° are merged.

Most intense lines, 2θ from 10° to 90°, by angle:
2θ/deg  I (rel.)  hkl
17.6  12  4 0 0
24.8  17  2 2 0
28.1  13  0 2 1
29.7  33  5 1 1
31.0  32  6 0 -1
31.8  43  0 0 2
33.4  100  4 2 -1
57.7  26  4 2 -3

Cell and atoms:
abc: 20.1323 7.6856 5.6255
angles: 90.00 90.04 90.00
Space group C2/m (No. 12)
One atom of each set of equivalent atoms:
Pm  0.0000  0.0000  0.0000 (multiplicity 2)
Pm  0.0000  0.2911  0.5000 (multiplicity 4)
Y  0.2412  0.0000  0.9988 (multiplicity 4)
Ho  0.1085  0.2907  0.0003 (multiplicity 8)
Ho  0.1340  0.0000  0.4995 (multiplicity 4)
Ho  0.1693  0.5000  0.5010 (multiplicity 4)

=====

[9]
Starting from a DFT-relaxed cell (PBE, Alexandria), the powder diffraction line list of AgRh3O6 was simulated for Cu Kα (weighted mean of Kα1 and Kα2).
Lines closer than 0.1° are merged.

Most intense lines, 2θ from 10° to 90°, by angle:
2θ/deg  I (rel.)  hkl
29.9  100  2 2 0
33.7  78  0 2 1
34.6  23  0 4 0
38.1  36  2 0 1
52.4  54  2 4 1
59.2  15  2 6 0
61.5  39  4 2 1
68.2  18  2 2 2

Cell and atoms:
abc: 7.3149 10.3592 3.1000
angles: 90.00 90.00 90.00
Space group Cmmm (No. 65)
One atom of each set of equivalent atoms:
Ag  0.0000  0.0000  0.0000 (multiplicity 2)
Rh  0.0000  0.5000  0.0000 (multiplicity 2)
Rh  0.2500  0.2500  0.5000 (multiplicity 4)
O  0.0000  0.1612  0.5000 (multiplicity 4)
O  0.1858  0.3656  0.0000 (multiplicity 8)

=====

[10]
Starting from a DFT-relaxed cell (PBE, Alexandria), the powder diffraction line list of Th3Ga2Tc3 was simulated for Cu Kα (weighted mean of Kα1 and Kα2).
Lines closer than 0.1° are merged.

Most intense lines, 2θ from 10° to 90°, by angle:
2θ/deg  I (rel.)  hkl
28.8  36  2 1 1
30.0  39  1 4 1
32.5  52  1 0 2
33.0  38  1 1 2
33.2  100  2 4 0
34.7  56  0 6 0
36.6  59  2 4 1
37.0  74  1 3 2

Cell and atoms:
abc: 7.4880 15.5258 5.9245
angles: 90.00 90.00 90.00
Space group Pnma (No. 62)
One atom of each set of equivalent atoms:
Th  0.0505  0.1037  0.1494 (multiplicity 8)
Th  0.2050  0.2500  0.5933 (multiplicity 4)
Ga  0.0920  0.6072  0.3608 (multiplicity 8)
Tc  0.1301  0.7500  0.6197 (multiplicity 4)
Tc  0.2073  0.0259  0.5857 (multiplicity 8)

=====

Q: What is the formula in the second record?
A: CeY5Ir6